(1)
# GdHoAl6
Calculated powder diffraction line list, Cu Kα X-rays. Input: a GGA-PBE-relaxed structure.
Peak positions follow from Bragg's law for the DFT cell and can differ from measured ones.

Most intense lines, 2θ = 5–70°, low angle first:
2theta  intensity  hkl
19.1  47  1 0 1
25.1  100  1 0 2
29.2  56  1 1 0
35.1  40  2 0 1
37.6  31  0 0 4
38.8  96  2 0 2
44.4  20  2 0 3
48.3  28  1 1 4
49.3  25  2 1 2
60.5  31  2 2 0

Atomic structure:
Unit cell a=6.1220 b=6.1220 c=9.5780 alpha=90.00 beta=90.00 gamma=120.00
Space group P6_3/mmc (No. 194)
One atom of each set of equivalent atoms:
Gd (0.3333, 0.6667, 0.2500) [2 per cell]
Ho (0.0000, 0.0000, 0.0000) [2 per cell]
Al (0.0000, 0.5000, 0.0000) [6 per cell]
Al (0.1823, 0.3647, 0.7500) [6 per cell]



(2)
# GdAl2In
Calculated powder diffraction line list, Cu Kα X-rays. Input: a GGA-PBE-relaxed structure.
Peak positions follow from Bragg's law for the DFT cell and can differ from measured ones.

Most intense lines, 2θ = 5–70°, low angle first:
2theta  intensity  hkl
20.5  43  0 0 1
28.3  39  1 1 0
35.2  100  1 1 1
40.5  34  2 0 0
41.7  16  0 0 2
45.8  21  2 0 1
51.2  15  1 1 2
58.6  11  2 2 0
59.5  21  2 0 2
62.8  8  2 2 1

Atomic structure:
Unit cell a=4.4539 b=4.4539 c=4.3332 alpha=90.00 beta=90.00 gamma=90.00
Space group P4/mmm (No. 123)
One atom of each set of equivalent atoms:
Gd (0.0000, 0.0000, 0.0000) [1 per cell]
Al (0.0000, 0.5000, 0.5000) [2 per cell]
In (0.5000, 0.5000, 0.0000) [1 per cell]



Repeat the second record exactly.
# GdAl2In
Calculated powder diffraction line list, Cu Kα X-rays. Input: a GGA-PBE-relaxed structure.
Peak positions follow from Bragg's law for the DFT cell and can differ from measured ones.

Most intense lines, 2θ = 5–70°, low angle first:
2theta  intensity  hkl
20.5  43  0 0 1
28.3  39  1 1 0
35.2  100  1 1 1
40.5  34  2 0 0
41.7  16  0 0 2
45.8  21  2 0 1
51.2  15  1 1 2
58.6  11  2 2 0
59.5  21  2 0 2
62.8  8  2 2 1

Atomic structure:
Unit cell a=4.4539 b=4.4539 c=4.3332 alpha=90.00 beta=90.00 gamma=90.00
Space group P4/mmm (No. 123)
One atom of each set of equivalent atoms:
Gd (0.0000, 0.0000, 0.0000) [1 per cell]
Al (0.0000, 0.5000, 0.5000) [2 per cell]
In (0.5000, 0.5000, 0.0000) [1 per cell]